1.
Theoretical powder X-ray diffraction pattern
Compound: AlPO4
Radiation: Cu Kα X-rays
Structure: a cell relaxed with PBE
Neutral-atom scattering factors, no anomalous dispersion.

Structural model:
Lattice parameters (Å, degrees): 12.604 12.604 12.604 81.05 113.22 139.58
Element x y z (fractional)
Al: 0.141 0.749 0.892
Al: 0.143 0.036 0.179
Al: 0.143 0.464 0.606
Al: 0.451 0.604 0.055
Al: 0.451 0.896 0.347
Al: 0.549 0.104 0.653
Al: 0.549 0.396 0.945
Al: 0.857 0.249 0.108
Al: 0.857 0.536 0.394
Al: 0.857 0.964 0.821
P: 0.075 0.230 0.056
P: 0.075 0.520 0.345
P: 0.175 0.020 0.944
P: 0.175 0.730 0.655
P: 0.480 0.161 0.391
P: 0.480 0.589 0.819
P: 0.488 0.874 0.114
P: 0.760 0.374 0.886
P: 0.770 0.089 0.609
P: 0.770 0.661 0.181
O: 0.015 0.662 0.539
O: 0.015 0.976 0.853
O: 0.124 0.162 0.147
O: 0.124 0.476 0.461
O: 0.152 0.745 0.760
O: 0.152 0.892 0.906
O: 0.179 0.012 0.069
O: 0.179 0.610 0.667
O: 0.248 0.404 0.051
O: 0.248 0.697 0.344
O: 0.321 0.809 0.012
O: 0.325 0.131 0.316
O: 0.325 0.509 0.694
O: 0.353 0.197 0.949
O: 0.353 0.904 0.656
O: 0.442 0.031 0.333
O: 0.442 0.610 0.912
O: 0.487 0.754 0.103
O: 0.487 0.884 0.233
O: 0.490 0.145 0.517
O: 0.490 0.474 0.846
O: 0.628 0.645 0.154
O: 0.628 0.974 0.483
O: 0.651 0.254 0.767
O: 0.651 0.384 0.897
O: 0.659 0.050 0.110
O: 0.659 0.339 0.397
O: 0.659 0.762 0.820
O: 0.698 0.110 0.667
O: 0.698 0.531 0.088
O: 0.797 0.309 0.988
O: 0.814 0.009 0.684
O: 0.814 0.631 0.306
O: 0.940 0.550 0.890
O: 0.942 0.262 0.603
O: 0.942 0.839 0.180
O: 0.943 0.110 0.931
O: 0.943 0.512 0.333
O: 0.986 0.245 0.094
O: 0.986 0.392 0.240

Principal peaks in the range 2θ = 15–90°, by angle:
- 2θ = 15.27°, I = 537
- 2θ = 19.75°, I = 280
- 2θ = 20.40°, I = 1000
- 2θ = 21.49°, I = 434
- 2θ = 21.76°, I = 293
- 2θ = 22.13°, I = 358
- 2θ = 22.56°, I = 402
- 2θ = 25.69°, I = 161
- 2θ = 27.94°, I = 127
- 2θ = 30.58°, I = 108
- 2θ = 31.85°, I = 164
- 2θ = 56.38°, I = 124

---

2.
Theoretical powder X-ray diffraction pattern
Compound: KNa3Al4Si4O16
Radiation: Cu Kα X-rays
Structure: a cell relaxed with PBE
Neutral-atom scattering factors, no anomalous dispersion.

Structural model:
Lattice parameters (Å, degrees): 10.138 10.138 8.526 90.00 90.00 120.00
Element x y z (fractional)
K: 0.000 0.000 0.000
K: 0.000 0.000 0.500
Na: 0.009 0.450 0.497
Na: 0.441 0.991 0.497
Na: 0.450 0.441 0.997
Na: 0.550 0.559 0.497
Na: 0.559 0.009 0.997
Na: 0.991 0.550 0.997
Al: 0.093 0.333 0.809
Al: 0.239 0.907 0.809
Al: 0.333 0.239 0.309
Al: 0.333 0.667 0.299
Al: 0.667 0.333 0.799
Al: 0.667 0.761 0.809
Al: 0.761 0.093 0.309
Al: 0.907 0.667 0.309
Si: 0.094 0.333 0.181
Si: 0.239 0.906 0.181
Si: 0.333 0.239 0.681
Si: 0.333 0.667 0.693
Si: 0.667 0.333 0.193
Si: 0.667 0.761 0.181
Si: 0.761 0.094 0.681
Si: 0.906 0.667 0.681
O: 0.026 0.315 0.003
O: 0.042 0.778 0.803
O: 0.059 0.775 0.180
O: 0.161 0.510 0.238
O: 0.172 0.524 0.754
O: 0.222 0.264 0.803
O: 0.225 0.284 0.180
O: 0.264 0.042 0.303
O: 0.284 0.059 0.680
O: 0.288 0.974 0.003
O: 0.315 0.288 0.503
O: 0.333 0.667 0.503
O: 0.349 0.839 0.238
O: 0.352 0.828 0.754
O: 0.476 0.648 0.754
O: 0.490 0.651 0.238
O: 0.510 0.349 0.738
O: 0.524 0.352 0.254
O: 0.648 0.172 0.254
O: 0.651 0.161 0.738
O: 0.667 0.333 0.003
O: 0.685 0.712 0.003
O: 0.712 0.026 0.503
O: 0.716 0.941 0.180
O: 0.736 0.958 0.803
O: 0.775 0.716 0.680
O: 0.778 0.736 0.303
O: 0.828 0.476 0.254
O: 0.839 0.490 0.738
O: 0.941 0.225 0.680
O: 0.958 0.222 0.303
O: 0.974 0.685 0.503

Principal peaks in the range 2θ = 15–90°, by angle:
- 2θ = 20.84°, I = 369
- 2θ = 22.78°, I = 676
- 2θ = 26.87°, I = 499
- 2θ = 29.20°, I = 1000
- 2θ = 30.54°, I = 459
- 2θ = 34.24°, I = 243
- 2θ = 35.42°, I = 191
- 2θ = 36.92°, I = 174
- 2θ = 37.71°, I = 389
- 2θ = 38.45°, I = 247
- 2θ = 58.04°, I = 274
- 2θ = 66.50°, I = 258

---

3.
Theoretical powder X-ray diffraction pattern
Compound: LaNdAl4
Radiation: Cu Kα X-rays
Structure: a cell relaxed with PBE
Neutral-atom scattering factors, no anomalous dispersion.

Structural model:
Lattice parameters (Å, degrees): 5.728 5.728 5.728 60.00 60.00 60.00
Element x y z (fractional)
La: 0.000 0.000 0.000
Nd: 0.250 0.250 0.250
Al: 0.125 0.625 0.625
Al: 0.625 0.125 0.625
Al: 0.625 0.625 0.125
Al: 0.625 0.625 0.625

Principal peaks in the range 2θ = 15–90°, by angle:
- 2θ = 18.98°, I = 557
- 2θ = 31.23°, I = 961
- 2θ = 36.80°, I = 1000
- 2θ = 44.75°, I = 69
- 2θ = 49.02°, I = 147
- 2θ = 55.58°, I = 375
- 2θ = 59.28°, I = 330
- 2θ = 65.15°, I = 220
- 2θ = 68.53°, I = 107
- 2θ = 74.02°, I = 159
- 2θ = 77.23°, I = 114
- 2θ = 85.63°, I = 60

---

4.
Theoretical powder X-ray diffraction pattern
Compound: CaMg6Cd
Radiation: Cu Kα X-rays
Structure: a cell relaxed with PBE
Neutral-atom scattering factors, no anomalous dispersion.

Structural model:
Lattice parameters (Å, degrees): 5.196 6.652 6.652 58.64 90.00 90.00
Element x y z (fractional)
Ca: 0.000 0.000 0.000
Mg: 0.000 0.004 0.495
Mg: 0.000 0.495 0.004
Mg: 0.500 0.169 0.169
Mg: 0.500 0.170 0.657
Mg: 0.500 0.657 0.170
Mg: 0.500 0.664 0.664
Cd: 0.000 0.495 0.495

Principal peaks in the range 2θ = 15–90°, by angle:
- 2θ = 15.28°, I = 293
- 2θ = 15.60°, I = 277
- 2θ = 17.06°, I = 237
- 2θ = 22.98°, I = 245
- 2θ = 23.20°, I = 195
- 2θ = 31.50°, I = 305
- 2θ = 34.52°, I = 360
- 2θ = 35.45°, I = 510
- 2θ = 36.04°, I = 1000
- 2θ = 47.42°, I = 186
- 2θ = 55.24°, I = 216
- 2θ = 66.80°, I = 189

---

5.
Theoretical powder X-ray diffraction pattern
Compound: Li2TiS2O
Radiation: Cu Kα X-rays
Structure: a cell relaxed with PBE
Neutral-atom scattering factors, no anomalous dispersion.

Structural model:
Lattice parameters (Å, degrees): 6.468 12.628 5.550 90.00 114.25 90.00
Element x y z (fractional)
Li: 0.097 0.138 0.050
Li: 0.097 0.362 0.550
Li: 0.292 0.558 0.158
Li: 0.292 0.942 0.658
Li: 0.708 0.058 0.342
Li: 0.708 0.442 0.842
Li: 0.903 0.638 0.450
Li: 0.903 0.862 0.950
Ti: 0.481 0.181 0.650
Ti: 0.481 0.319 0.150
Ti: 0.519 0.681 0.850
Ti: 0.519 0.819 0.350
S: 0.119 0.142 0.554
S: 0.119 0.358 0.054
S: 0.291 0.549 0.625
S: 0.291 0.951 0.125
S: 0.709 0.049 0.875
S: 0.709 0.451 0.375
S: 0.881 0.642 0.946
S: 0.881 0.858 0.446
O: 0.470 0.694 0.159
O: 0.470 0.806 0.659
O: 0.530 0.194 0.341
O: 0.530 0.306 0.841

Principal peaks in the range 2θ = 15–90°, by angle:
- 2θ = 15.02°, I = 875
- 2θ = 20.61°, I = 351
- 2θ = 22.52°, I = 534
- 2θ = 22.73°, I = 717
- 2θ = 27.56°, I = 1000
- 2θ = 28.97°, I = 291
- 2θ = 32.27°, I = 680
- 2θ = 33.54°, I = 541
- 2θ = 38.79°, I = 298
- 2θ = 45.93°, I = 207
- 2θ = 51.10°, I = 207
- 2θ = 54.61°, I = 226

---

Question: What is the formula in the fifth record?
Answer: Li2TiS2O